(1)
Starting from a cell relaxed with PBE, the powder diffraction line list of HoCu2Te4 was simulated for copper Kα.

Peak list (12 most intense, 5° ≤ 2θ ≤ 70°, most intense first)
26.73°, d = 3.336 Å, I 100, (3 1 -1)
26.52°, d = 3.361 Å, I 95, (1 1 -2)
32.31°, d = 2.770 Å, I 50, (0 4 1)
36.97°, d = 2.431 Å, I 44, (1 5 0)
32.47°, d = 2.758 Å, I 43, (2 4 -1)
40.64°, d = 2.220 Å, I 33, (3 3 0)
40.97°, d = 2.203 Å, I 33, (3 3 -3)
38.98°, d = 2.311 Å, I 32, (2 2 1)
39.68°, d = 2.271 Å, I 29, (4 2 -3)
54.25°, d = 1.691 Å, I 16, (2 2 2)
43.70°, d = 2.071 Å, I 14, (4 4 -2)
43.21°, d = 2.094 Å, I 14, (0 4 2)

Structure:
abc: 10.872 12.801 7.717
angles: 90.00 134.16 90.00
Space group C2/c (No. 15)
Inequivalent atoms, fractional coordinates:
Ho: 0.000 0.125 0.250 (multiplicity 4)
Cu: 0.000 0.500 0.000 (multiplicity 4)
Cu: 0.250 0.250 0.000 (multiplicity 4)
Te: 0.156 0.319 0.612 (multiplicity 8)
Te: 0.204 0.069 0.794 (multiplicity 8)

***

(2)
Starting from a cell relaxed with PBE, the powder diffraction line list of Ho2CuTe6 was simulated for copper Kα.

Peak list (12 most intense, 5° ≤ 2θ ≤ 70°, most intense first)
33.48°, d = 2.677 Å, I 100, (2 0 1)
32.79°, d = 2.731 Å, I 64, (2 1 0)
31.03°, d = 2.882 Å, I 59, (1 1 1)
40.02°, d = 2.253 Å, I 28, (2 1 1)
57.23°, d = 1.610 Å, I 26, (2 1 2)
63.44°, d = 1.466 Å, I 24, (4 1 1)
45.52°, d = 1.993 Å, I 20, (0 0 2)
60.48°, d = 1.531 Å, I 15, (3 2 1)
43.38°, d = 2.086 Å, I 15, (2 2 0)
51.01°, d = 1.791 Å, I 14, (3 1 1)
37.33°, d = 2.409 Å, I 13, (3 0 0)
58.53°, d = 1.577 Å, I 13, (4 1 0)

Structure:
abc: 8.3441 8.3441 3.9851
angles: 90.00 90.00 120.00
Space group P-62m (No. 189)
Inequivalent atoms, fractional coordinates:
Ho: 0.3333 0.6667 0.0000 (multiplicity 2)
Cu: 0.0000 0.0000 0.5000 (multiplicity 1)
Te: 0.0000 0.2294 0.0000 (multiplicity 3)
Te: 0.0000 0.5488 0.5000 (multiplicity 3)

***

(3)
Starting from a cell relaxed with PBE, the powder diffraction line list of HoTmCuTe3 was simulated for copper Kα.

Peak list (12 most intense, 5° ≤ 2θ ≤ 70°, most intense first)
33.23°, d = 2.696 Å, I 100, (1 3 2)
30.00°, d = 2.978 Å, I 64, (1 3 1)
41.46°, d = 2.178 Å, I 35, (0 6 2)
33.46°, d = 2.678 Å, I 31, (1 1 3)
44.41°, d = 2.040 Å, I 28, (2 0 0)
32.56°, d = 2.750 Å, I 27, (0 0 4)
27.36°, d = 3.260 Å, I 26, (0 2 3)
62.37°, d = 1.489 Å, I 21, (2 6 2)
20.41°, d = 4.352 Å, I 20, (0 2 2)
50.94°, d = 1.793 Å, I 17, (1 3 5)
28.86°, d = 3.094 Å, I 17, (1 3 0)
38.06°, d = 2.364 Å, I 16, (1 3 3)

Structure:
abc: 4.080 14.238 10.999
angles: 90.00 90.00 90.00
Space group Cmcm (No. 63)
Inequivalent atoms, fractional coordinates:
Ho: 0.000 0.000 0.000 (multiplicity 4)
Tm: 0.000 0.227 0.250 (multiplicity 4)
Cu: 0.000 0.471 0.750 (multiplicity 4)
Te: 0.000 0.099 0.750 (multiplicity 4)
Te: 0.000 0.350 0.568 (multiplicity 8)

***

(4)
Starting from a cell relaxed with PBE, the powder diffraction line list of YHoTlCu2 was simulated for copper Kα.

Peak list (12 most intense, 5° ≤ 2θ ≤ 70°, most intense first)
33.09°, d = 2.707 Å, I 100, (1 1 1)
35.56°, d = 2.525 Å, I 61, (1 0 4)
38.34°, d = 2.348 Å, I 52, (0 1 5)
56.58°, d = 1.627 Å, I 45, (1 2 4)
28.31°, d = 3.152 Å, I 40, (0 1 3)
42.48°, d = 2.128 Å, I 26, (0 2 0)
65.02°, d = 1.434 Å, I 22, (2 1 5)
50.36°, d = 1.812 Å, I 16, (2 0 0)
46.06°, d = 1.970 Å, I 15, (1 1 5)
67.95°, d = 1.379 Å, I 13, (2 2 0)
58.78°, d = 1.571 Å, I 11, (2 1 3)
12.58°, d = 7.039 Å, I 11, (0 0 2)

Structure:
abc: 3.624 4.256 14.078
angles: 90.00 90.00 90.00
Space group Amm2 (No. 38)
Inequivalent atoms, fractional coordinates:
Y: 0.000 0.000 0.000 (multiplicity 2)
Ho: 0.000 0.000 0.731 (multiplicity 2)
Tl: 0.500 0.000 0.366 (multiplicity 2)
Cu: 0.500 0.000 0.163 (multiplicity 2)
Cu: 0.500 0.000 0.569 (multiplicity 2)

***

(5)
Starting from a cell relaxed with PBE, the powder diffraction line list of YHoCu2 was simulated for copper Kα.

Peak list (12 most intense, 5° ≤ 2θ ≤ 70°, most intense first)
41.35°, d = 2.184 Å, I 100, (2 0 0)
32.51°, d = 2.754 Å, I 63, (1 0 2)
36.64°, d = 2.453 Å, I 63, (1 1 2)
35.63°, d = 2.520 Å, I 51, (0 2 1)
29.16°, d = 3.062 Å, I 47, (1 1 1)
41.70°, d = 2.166 Å, I 29, (0 1 3)
55.68°, d = 1.651 Å, I 28, (2 2 1)
60.16°, d = 1.538 Å, I 19, (2 1 3)
54.46°, d = 1.685 Å, I 14, (0 1 4)
69.78°, d = 1.348 Å, I 14, (0 4 0)
30.16°, d = 2.964 Å, I 13, (0 1 2)
26.25°, d = 3.395 Å, I 13, (1 1 0)

Structure:
abc: 4.370 5.392 7.095
angles: 90.00 90.00 90.00
Space group Pmc2_1 (No. 26)
Inequivalent atoms, fractional coordinates:
Y: 0.000 0.119 0.000 (multiplicity 2)
Ho: 0.500 0.381 0.638 (multiplicity 2)
Cu: 0.000 0.376 0.354 (multiplicity 2)
Cu: 0.500 0.127 0.285 (multiplicity 2)

***

(6)
Starting from a cell relaxed with PBE, the powder diffraction line list of Ho2ZnCu3 was simulated for copper Kα.

Peak list (12 most intense, 5° ≤ 2θ ≤ 70°, most intense first)
35.79°, d = 2.509 Å, I 100, (1 1 -2)
36.10°, d = 2.488 Å, I 69, (3 1 -2)
41.81°, d = 2.161 Å, I 59, (0 2 0)
42.47°, d = 2.128 Å, I 58, (3 1 0)
23.90°, d = 3.724 Å, I 32, (1 1 0)
34.56°, d = 2.596 Å, I 29, (1 1 1)
34.90°, d = 2.571 Å, I 29, (3 1 -1)
36.51°, d = 2.461 Å, I 28, (4 0 -2)
56.70°, d = 1.624 Å, I 19, (4 2 -2)
56.23°, d = 1.636 Å, I 15, (0 2 2)
69.03°, d = 1.361 Å, I 14, (1 1 3)
42.26°, d = 2.139 Å, I 10, (4 0 -3)

Structure:
abc: 9.878 4.322 6.744
angles: 90.00 132.04 90.00
Space group Cm (No. 8)
Inequivalent atoms, fractional coordinates:
Ho: 0.000 0.000 0.000 (multiplicity 2)
Ho: 0.093 0.000 0.596 (multiplicity 2)
Zn: 0.380 0.000 0.189 (multiplicity 2)
Cu: 0.211 0.500 0.015 (multiplicity 2)
Cu: 0.212 0.500 0.412 (multiplicity 2)
Cu: 0.382 0.000 0.585 (multiplicity 2)

***

- What is the formula in the third record?
  HoTmCuTe3